No. 1
Theoretical X-ray diffraction stick pattern
Compound: Li2ZnPSe4
Radiation: Cu Kα (λ = 1.5418 Å)
Structure: a GGA-PBE-relaxed structure
Peak positions follow from Bragg's law for the DFT cell and can differ from measured ones.

Atomic structure:
```
data_Li2ZnPSe4
_chemical_formula_sum 'Li4 Zn2 P2 Se8'
_cell_length_a 5.9186
_cell_length_b 5.9186
_cell_length_c 10.9279
_cell_angle_alpha 90.00
_cell_angle_beta 90.00
_cell_angle_gamma 90.00
_symmetry_space_group_name_H-M 'I -4'
_symmetry_Int_Tables_number 82
loop_
_symmetry_equiv_pos_as_xyz
'x,y,z'
'y,-x,-z'
'-x,-y,z'
'-y,x,-z'
'x+1/2,y+1/2,z+1/2'
'y+1/2,-x+1/2,-z+1/2'
'-x+1/2,-y+1/2,z+1/2'
'-y+1/2,x+1/2,-z+1/2'
loop_
_atom_site_label
_atom_site_type_symbol
_atom_site_fract_x
_atom_site_fract_y
_atom_site_fract_z
Li1 Li 0.0000 0.0000 0.0000
Li2 Li 0.0000 0.5000 0.2500
Zn1 Zn 0.0000 0.0000 0.5000
P1 P 0.0000 0.5000 0.7500
Se1 Se 0.2305 0.2595 0.6277
```

Principal peaks in the range 2θ from 10° to 80°, low angle first:
17.04°, rel. 20, (1 0 1); 26.83°, rel. 100, (1 1 2); 30.20°, rel. 13, (2 0 0); 43.24°, rel. 21, (2 2 0); 45.17°, rel. 38, (2 0 4); 51.62°, rel. 29, (3 1 2); 54.98°, rel. 13, (1 1 6); 72.40°, rel. 11, (1 3 6)

***

No. 2
Theoretical X-ray diffraction stick pattern
Compound: Yb2MgS4
Radiation: Cu Kα (λ = 1.5418 Å)
Structure: a GGA-PBE-relaxed structure
Peak positions follow from Bragg's law for the DFT cell and can differ from measured ones.

Atomic structure:
```
data_Yb2MgS4
_chemical_formula_sum 'Yb8 Mg4 S16'
_cell_length_a 8.0448
_cell_length_b 8.0448
_cell_length_c 8.7098
_cell_angle_alpha 90.00
_cell_angle_beta 90.00
_cell_angle_gamma 90.00
_symmetry_space_group_name_H-M 'I -4 2 d'
_symmetry_Int_Tables_number 122
_symmetry_space_group_name_Hall 'I -4 2bw'
loop_
_atom_site_label
_atom_site_type_symbol
_atom_site_fract_x
_atom_site_fract_y
_atom_site_fract_z
Yb1 Yb 0.1238 0.2500 0.1250
Mg1 Mg 0.0000 0.0000 0.5000
S1 S 0.0727 0.1980 0.8127
```

Principal peaks in the range 2θ from 10° to 80°, low angle first:
14.99°, rel. 64, (1 0 1); 22.10°, rel. 32, (2 0 0); 25.76°, rel. 73, (1 1 2); 26.81°, rel. 100, (2 1 1); 32.79°, rel. 42, (1 0 3); 35.28°, rel. 85, (3 1 0); 39.90°, rel. 75, (2 1 3); 41.79°, rel. 45, (3 2 1)

***

No. 3
Theoretical X-ray diffraction stick pattern
Compound: RbLaTe2
Radiation: Cu Kα (λ = 1.5418 Å)
Structure: a GGA-PBE-relaxed structure
Peak positions follow from Bragg's law for the DFT cell and can differ from measured ones.

Atomic structure:
```
data_RbLaTe2
_chemical_formula_sum 'Rb1 La1 Te2'
_cell_length_a 4.7035
_cell_length_b 4.7035
_cell_length_c 8.8052
_cell_angle_alpha 90.00
_cell_angle_beta 90.00
_cell_angle_gamma 120.00
_symmetry_space_group_name_H-M 'P -3 m 1'
_symmetry_Int_Tables_number 164
_symmetry_space_group_name_Hall '-P 3 2"'
loop_
_atom_site_label
_atom_site_type_symbol
_atom_site_fract_x
_atom_site_fract_y
_atom_site_fract_z
Rb1 Rb 0.0000 0.0000 0.0000
La1 La 0.0000 0.0000 0.5000
Te1 Te 0.3333 0.6667 0.2954
```

Principal peaks in the range 2θ from 10° to 80°, low angle first:
10.05°, rel. 24, (0 0 1); 24.07°, rel. 61, (1 0 1); 29.88°, rel. 100, (1 0 2); 37.78°, rel. 18, (0 1 3); 38.27°, rel. 47, (1 1 0); 46.92°, rel. 16, (0 1 4); 49.30°, rel. 25, (0 2 2); 64.07°, rel. 22, (2 1 2)